[1]
This entry pairs a crystal structure of HfTlS4 with its theoretical powder X-ray diffraction pattern. Radiation: copper Kα. Structure: a GGA-PBE-relaxed structure.

Main lines, in order of rising 2θ (2θ = 15–90°):
15.0 deg, 5.898 Å, I 44, (0 2 0); 15.4 deg, 5.738 Å, I 75, (1 1 -1); 21.2 deg, 4.198 Å, I 58, (2 0 0); 22.4 deg, 3.971 Å, I 56, (0 2 1); 25.0 deg, 3.561 Å, I 100, (1 3 0); 27.1 deg, 3.287 Å, I 56, (2 0 -2); 33.4 deg, 2.685 Å, I 43, (0 0 2); 36.6 deg, 2.453 Å, I 52, (1 3 -2); 37.8 deg, 2.377 Å, I 52, (3 3 -2); 39.5 deg, 2.280 Å, I 46, (3 3 0)

Structural model:
```
data_HfTlS4
_chemical_formula_sum 'Hf4 Tl4 S16'
_cell_length_a 10.297
_cell_length_b 11.795
_cell_length_c 6.586
_cell_angle_alpha 90.00
_cell_angle_beta 125.37
_cell_angle_gamma 90.00
_symmetry_space_group_name_H-M 'C 1 2/c 1'
_symmetry_Int_Tables_number 15
loop_
_symmetry_equiv_pos_as_xyz
'x,y,z'
'-x,-y,-z'
'-x,y,-z+1/2'
'x,-y,z+1/2'
'x+1/2,y+1/2,z'
'-x+1/2,-y+1/2,-z'
'-x+1/2,y+1/2,-z+1/2'
'x+1/2,-y+1/2,z+1/2'
loop_
_atom_site_label
_atom_site_type_symbol
_atom_site_fract_x
_atom_site_fract_y
_atom_site_fract_z
Hf1 Hf 0.000 0.000 0.250
Tl1 Tl 0.000 0.351 0.250
S1 S 0.140 0.142 0.627
S2 S 0.238 0.030 0.216
```

[2]
This entry pairs a crystal structure of Mg2InTc with its theoretical powder X-ray diffraction pattern. Radiation: copper Kα. Structure: a GGA-PBE-relaxed structure.

Main lines, in order of rising 2θ (2θ = 15–90°):
16.6 deg, 5.336 Å, I 53, (0 0 1); 24.7 deg, 3.598 Å, I 67, (0 1 1); 31.3 deg, 2.862 Å, I 30, (1 0 0); 35.6 deg, 2.522 Å, I 39, (1 0 1); 36.9 deg, 2.436 Å, I 50, (0 2 0); 38.5 deg, 2.340 Å, I 80, (0 1 2); 40.3 deg, 2.240 Å, I 100, (1 1 -1); 49.1 deg, 1.855 Å, I 16, (1 2 0); 52.2 deg, 1.752 Å, I 25, (1 2 1); 68.8 deg, 1.365 Å, I 19, (1 3 -1)

Structural model:
```
data_Mg2InTc
_chemical_formula_sum 'Mg2 In1 Tc1'
_cell_length_a 2.862
_cell_length_b 4.871
_cell_length_c 5.336
_cell_angle_alpha 90.00
_cell_angle_beta 90.18
_cell_angle_gamma 90.00
_symmetry_space_group_name_H-M 'P 1 m 1'
_symmetry_Int_Tables_number 6
loop_
_symmetry_equiv_pos_as_xyz
'x,y,z'
'x,-y,z'
loop_
_atom_site_label
_atom_site_type_symbol
_atom_site_fract_x
_atom_site_fract_y
_atom_site_fract_z
Mg1 Mg 0.000 0.000 0.000
Mg2 Mg 0.007 0.500 0.686
In1 In 0.502 0.000 0.474
Tc1 Tc 0.504 0.500 0.180
```

[3]
This entry pairs a crystal structure of Dy3PuSc3 with its theoretical powder X-ray diffraction pattern. Radiation: copper Kα. Structure: a GGA-PBE-relaxed structure.

Main lines, in order of rising 2θ (2θ = 15–90°):
31.0 deg, 2.881 Å, I 49, (1 1 3); 33.2 deg, 2.700 Å, I 100, (0 0 15); 36.4 deg, 2.466 Å, I 62, (2 -1 9); 40.6 deg, 2.220 Å, I 17, (2 -1 12); 51.1 deg, 1.788 Å, I 16, (1 1 18); 53.8 deg, 1.703 Å, I 23, (3 0 0); 57.1 deg, 1.613 Å, I 13, (1 1 21); 63.6 deg, 1.464 Å, I 13, (2 -1 24); 64.7 deg, 1.440 Å, I 36, (3 0 15); 87.9 deg, 1.110 Å, I 11, (2 2 24)

Structural model:
```
data_Dy3PuSc3
_chemical_formula_sum 'Dy18 Pu6 Sc18'
_cell_length_a 5.8977
_cell_length_b 5.8977
_cell_length_c 40.4606
_cell_angle_alpha 90.00
_cell_angle_beta 90.00
_cell_angle_gamma 120.00
_symmetry_space_group_name_H-M 'R -3'
_symmetry_Int_Tables_number 148
_symmetry_space_group_name_Hall '-R 3'
loop_
_atom_site_label
_atom_site_type_symbol
_atom_site_fract_x
_atom_site_fract_y
_atom_site_fract_z
Dy1 Dy 0.9999 0.3323 0.4315
Pu1 Pu 0.0000 0.0000 0.1667
Sc1 Sc 0.0002 0.3328 0.6355
```